Record 1
Calculated XRD peak list
Compound: Rb2HPbCl6
Radiation: Cu Kα (weighted mean of Kα1 and Kα2)
Structure: a structure optimized by DFT (GGA-PBE)
Lines closer than 0.1° are merged.

Principal peaks in the range 10 to 90 degrees two-theta, by angle:
2theta	I/Imax
14.50	100
21.55	58
24.83	100
26.07	33
30.66	88
31.44	41
38.44	36
39.85	56
43.92	30
50.94	28

Crystal structure
```
Rb2HPbCl6
1.0
-4.1232 4.1232 4.5469
4.1232 -4.1232 4.5469
4.1232 4.1232 -4.5469
Rb H Pb Cl
2 1 1 6
direct
0.2500 0.7500 0.5000
0.7500 0.2500 0.5000
0.0000 0.0000 0.0000
0.5000 0.5000 0.0000
0.1728 0.1728 0.0000
0.2713 0.2713 0.5426
0.2713 0.7287 0.0000
0.7287 0.2713 0.0000
0.7287 0.7287 0.4574
0.8272 0.8272 0.0000
```

***

Record 2
Calculated XRD peak list
Compound: HPdCl5
Radiation: Cu Kα (weighted mean of Kα1 and Kα2)
Structure: a structure optimized by DFT (GGA-PBE)
Lines closer than 0.1° are merged.

Principal peaks in the range 10 to 90 degrees two-theta, by angle:
2theta	I/Imax
12.00	100
12.36	55
14.89	47
19.35	20
24.13	14
24.73	17
32.46	46
38.78	19
41.35	15
53.48	15

Crystal structure
```
HPdCl5
1.0
7.6276 -1.7906 0.0000
7.6276 1.7906 0.0000
-3.7671 0.0000 14.3199
H Pd Cl
2 2 10
direct
0.0406 0.9594 0.5000
0.9594 0.0406 0.0000
0.0772 0.6080 0.1660
0.6080 0.0772 0.6660
0.0007 0.4741 0.6171
0.0485 0.5751 0.3120
0.1056 0.6353 0.0172
0.2104 0.6869 0.7148
0.2734 0.8621 0.4770
0.4741 0.0007 0.1171
0.5751 0.0485 0.8120
0.6353 0.1056 0.5172
0.6869 0.2104 0.2148
0.8621 0.2734 0.9770
```

***

Record 3
Calculated XRD peak list
Compound: RbH2PdCl8
Radiation: Cu Kα (weighted mean of Kα1 and Kα2)
Structure: a structure optimized by DFT (GGA-PBE)
Lines closer than 0.1° are merged.

Principal peaks in the range 10 to 90 degrees two-theta, by angle:
2theta	I/Imax
13.99	100
16.34	52
16.96	64
19.77	45
24.80	48
29.55	60
30.47	53
31.81	21
34.31	19
35.01	19

Crystal structure
```
RbH2PdCl8
1.0
6.0284 0.0000 0.0000
2.6330 6.3382 0.0000
2.0739 -0.3869 8.9796
Rb H Pd Cl
1 2 1 8
direct
0.0000 0.0000 0.0000
0.4917 0.7145 0.1595
0.5083 0.2855 0.8405
0.0000 0.0000 0.5000
0.1686 0.7346 0.3084
0.1769 0.7477 0.6651
0.3311 0.1070 0.4239
0.3381 0.3165 0.9664
0.6619 0.6835 0.0336
0.6689 0.8930 0.5761
0.8231 0.2523 0.3349
0.8314 0.2654 0.6916
```

***

Record 4
Calculated XRD peak list
Compound: Pr4H2Cl5
Radiation: Cu Kα (weighted mean of Kα1 and Kα2)
Structure: a structure optimized by DFT (GGA-PBE)
Lines closer than 0.1° are merged.

Principal peaks in the range 10 to 90 degrees two-theta, by angle:
2theta	I/Imax
10.52	64
10.79	36
21.55	21
26.18	31
27.59	26
30.32	100
32.76	25
34.24	27
35.36	24
45.24	55

Crystal structure
```
Pr4H2Cl5
1.0
8.4814 -2.0043 0.0000
8.4814 2.0043 0.0000
-2.2184 0.0000 8.4107
Pr H Cl
4 2 5
direct
0.0006 0.0006 0.2569
0.3626 0.3626 0.4288
0.6374 0.6374 0.5712
0.9994 0.9994 0.7431
0.4993 0.4993 0.6226
0.5007 0.5007 0.3774
0.1718 0.1718 0.8181
0.1768 0.1768 0.3547
0.5000 0.5000 0.0000
0.8232 0.8232 0.6453
0.8282 0.8282 0.1819
```

***

Record 5
Calculated XRD peak list
Compound: H2PtCl5
Radiation: Cu Kα (weighted mean of Kα1 and Kα2)
Structure: a structure optimized by DFT (GGA-PBE)
Lines closer than 0.1° are merged.

Principal peaks in the range 10 to 90 degrees two-theta, by angle:
2theta	I/Imax
12.66	100
14.46	50
15.67	28
17.25	26
17.45	24
18.85	21
20.93	31
24.08	36
31.65	21
32.60	26

Crystal structure
```
H2PtCl5
1.0
6.1676 0.0000 0.0000
2.5640 6.2264 0.0000
1.5182 1.2778 6.9942
H Pt Cl
2 1 5
direct
0.0000 0.0000 0.0000
0.0026 0.7289 0.3814
0.4904 0.9795 0.0105
0.0970 0.1731 0.9536
0.1337 0.7148 0.5050
0.4665 0.2327 0.1730
0.5128 0.7253 0.8499
0.8811 0.7931 0.0604
```

***

Record 6
Calculated XRD peak list
Compound: H6PtCl
Radiation: Cu Kα (weighted mean of Kα1 and Kα2)
Structure: a structure optimized by DFT (GGA-PBE)
Lines closer than 0.1° are merged.

Principal peaks in the range 10 to 90 degrees two-theta, by angle:
2theta	I/Imax
17.57	95
18.77	77
22.39	100
23.63	73
24.37	66
28.28	46
28.64	44
28.87	43
44.64	30
46.24	26

Crystal structure
```
H6PtCl
1.0
4.0354 0.0000 0.0000
0.1332 5.2086 0.0000
1.8482 1.1980 4.7264
H Pt Cl
6 1 1
direct
0.0000 0.0000 0.0000
0.0333 0.4663 0.0051
0.1786 0.0550 0.5532
0.4919 0.2105 0.7594
0.6694 0.1086 0.8432
0.8383 0.4744 0.9921
0.0686 0.2530 0.7474
0.2635 0.6321 0.3478
```